(1)
Computed powder X-ray diffraction pattern
Compound: Cu7Ag3
Radiation: Cu Ka
Structure: the PBE geometry in OQMD
Intensities are scaled so that the largest is 100.

Most intense lines, 2θ = 10–90°, low angle first:
2theta, d (Å), I_rel
38.25, 2.353, 12
41.37, 2.183, 100
46.04, 1.971, 44
52.14, 1.754, 6
67.15, 1.394, 13
67.61, 1.386, 7
72.07, 1.310, 9
82.03, 1.175, 25

abc: 2.7878 2.7878 17.5426
angles: 90.00 90.00 90.00
Positions (direct):
1 Cu 0.0000 0.0000 0.0000
2 Cu 0.0000 0.0000 0.1772
3 Cu 0.0000 0.0000 0.3541
4 Cu 0.0000 0.0000 0.7834
5 Cu 0.5000 0.5000 0.0886
6 Cu 0.5000 0.5000 0.2658
7 Cu 0.5000 0.5000 0.6956
8 Ag 0.0000 0.0000 0.5878
9 Ag 0.5000 0.5000 0.4624
10 Ag 0.5000 0.5000 0.8915

(2)
Computed powder X-ray diffraction pattern
Compound: ScPAuO
Radiation: Cu Ka
Structure: the PBE geometry in OQMD
Intensities are scaled so that the largest is 100.

Most intense lines, 2θ = 10–90°, low angle first:
2theta, d (Å), I_rel
10.47, 8.447, 100
21.03, 4.224, 39
34.38, 2.609, 51
39.16, 2.300, 43
46.21, 1.965, 19
46.85, 1.939, 20
51.88, 1.762, 15
54.87, 1.673, 18

abc: 3.8788 3.8788 8.4474
angles: 90.00 90.00 90.00
Positions (direct):
1 Sc 0.2500 0.2500 0.1056
2 Sc 0.7500 0.7500 0.8944
3 P 0.2500 0.2500 0.7026
4 P 0.7500 0.7500 0.2974
5 Au 0.2500 0.7500 0.5000
6 Au 0.7500 0.2500 0.5000
7 O 0.2500 0.7500 0.0000
8 O 0.7500 0.2500 0.0000

(3)
Computed powder X-ray diffraction pattern
Compound: In8TeIr2
Radiation: Cu Ka
Structure: the PBE geometry in OQMD
Intensities are scaled so that the largest is 100.

Most intense lines, 2θ = 10–90°, low angle first:
2theta, d (Å), I_rel
17.10, 5.185, 35
19.50, 4.552, 37
32.53, 2.753, 66
34.60, 2.592, 50
36.39, 2.469, 58
37.48, 2.399, 38
40.47, 2.229, 100
64.34, 1.448, 34

abc: 10.1784 10.1784 10.3699
angles: 90.00 90.00 90.00
Positions (direct):
1 In 0.0000 0.0000 0.1610
2 In 0.0000 0.0000 0.8390
3 In 0.0554 0.2904 0.2890
4 In 0.0554 0.2904 0.7110
5 In 0.0949 0.9051 0.5000
6 In 0.1920 0.8080 0.0000
7 In 0.2030 0.2030 0.0000
8 In 0.2096 0.5554 0.2110
9 In 0.2096 0.5554 0.7890
10 In 0.2904 0.0554 0.2890
11 In 0.2904 0.0554 0.7110
12 In 0.2970 0.7030 0.5000
13 In 0.3080 0.3080 0.5000
14 In 0.4051 0.4051 0.0000
15 In 0.4446 0.7904 0.2110
16 In 0.4446 0.7904 0.7890
17 In 0.5000 0.5000 0.3390
18 In 0.5000 0.5000 0.6610
19 In 0.5554 0.2096 0.2110
20 In 0.5554 0.2096 0.7890
21 In 0.5949 0.5949 0.0000
22 In 0.6920 0.6920 0.5000
23 In 0.7030 0.2970 0.5000
24 In 0.7096 0.9446 0.2890
25 In 0.7096 0.9446 0.7110
26 In 0.7904 0.4446 0.2110
27 In 0.7904 0.4446 0.7890
28 In 0.7970 0.7970 0.0000
29 In 0.8080 0.1920 0.0000
30 In 0.9051 0.0949 0.5000
31 In 0.9446 0.7096 0.2890
32 In 0.9446 0.7096 0.7110
33 Te 0.0000 0.5000 0.0000
34 Te 0.0000 0.5000 0.5000
35 Te 0.5000 0.0000 0.0000
36 Te 0.5000 0.0000 0.5000
37 Ir 0.1844 0.8156 0.2581
38 Ir 0.1844 0.8156 0.7419
39 Ir 0.3156 0.3156 0.2419
40 Ir 0.3156 0.3156 0.7581
41 Ir 0.6844 0.6844 0.2419
42 Ir 0.6844 0.6844 0.7581
43 Ir 0.8156 0.1844 0.2581
44 Ir 0.8156 0.1844 0.7419

(4)
Computed powder X-ray diffraction pattern
Compound: Zn3PBr3
Radiation: Cu Ka
Structure: the PBE geometry in OQMD
Intensities are scaled so that the largest is 100.

Most intense lines, 2θ = 10–90°, low angle first:
2theta, d (Å), I_rel
25.35, 3.513, 100
26.66, 3.344, 51
28.70, 3.110, 62
37.11, 2.423, 33
44.68, 2.028, 65
48.31, 1.884, 35
48.41, 1.880, 31
52.76, 1.735, 26

abc: 6.6886 4.0565 7.0251
angles: 90.00 90.19 90.00
Positions (direct):
1 Zn 0.0000 0.0000 0.0000
2 Zn 0.0405 0.5000 0.4224
3 Zn 0.5599 0.5000 0.1586
4 P 0.9018 0.5000 0.1230
5 Br 0.3982 0.0000 0.9847
6 Br 0.4042 0.5000 0.4740
7 Br 0.9292 0.0000 0.6275

(5)
Computed powder X-ray diffraction pattern
Compound: Ho3Lu4Te2Pd2
Radiation: Cu Ka
Structure: the PBE geometry in OQMD
Intensities are scaled so that the largest is 100.

Most intense lines, 2θ = 10–90°, low angle first:
2theta, d (Å), I_rel
30.13, 2.966, 48
30.36, 2.944, 20
33.23, 2.696, 63
33.89, 2.645, 100
34.39, 2.608, 53
36.51, 2.461, 22
46.32, 1.960, 29
58.19, 1.585, 26

abc: 9.2888 9.2888 9.2888
angles: 155.64 67.07 118.60
Positions (direct):
1 Ho 0.0000 0.0000 0.0000
2 Ho 0.6172 0.2621 0.3551
3 Ho 0.9070 0.2621 0.6449
4 Lu 0.2833 0.4146 0.8687
5 Lu 0.3075 0.6252 0.6824
6 Lu 0.5459 0.4146 0.1313
7 Lu 0.9428 0.6252 0.3176
8 Te 0.2667 0.7667 0.5000
9 Te 0.6577 0.6577 0.0000
10 Pd 0.1718 0.9329 0.2389
11 Pd 0.6940 0.9329 0.7611

(6)
Computed powder X-ray diffraction pattern
Compound: DyTc2O4
Radiation: Cu Ka
Structure: the PBE geometry in OQMD
Intensities are scaled so that the largest is 100.

Most intense lines, 2θ = 10–90°, low angle first:
2theta, d (Å), I_rel
28.19, 3.166, 45
33.18, 2.700, 100
34.70, 2.585, 12
49.89, 1.828, 18
53.14, 1.723, 38
58.28, 1.583, 37
68.74, 1.366, 12
82.79, 1.166, 21

abc: 6.3323 6.3323 6.3323
angles: 60.00 60.00 60.00
Positions (direct):
1 Dy 0.1250 0.1250 0.1250
2 Dy 0.8750 0.8750 0.8750
3 Tc 0.0000 0.5000 0.5000
4 Tc 0.5000 0.0000 0.5000
5 Tc 0.5000 0.5000 0.0000
6 Tc 0.5000 0.5000 0.5000
7 O 0.2623 0.2623 0.2623
8 O 0.2623 0.2623 0.7131
9 O 0.2623 0.7131 0.2623
10 O 0.2869 0.7377 0.7377
11 O 0.7131 0.2623 0.2623
12 O 0.7377 0.2869 0.7377
13 O 0.7377 0.7377 0.2869
14 O 0.7377 0.7377 0.7377

(7)
Computed powder X-ray diffraction pattern
Compound: SnTePdO
Radiation: Cu Ka
Structure: the PBE geometry in OQMD
Intensities are scaled so that the largest is 100.

Most intense lines, 2θ = 10–90°, low angle first:
2theta, d (Å), I_rel
22.19, 4.006, 79
26.95, 3.308, 81
28.37, 3.146, 62
35.67, 2.517, 100
36.60, 2.455, 50
37.60, 2.392, 62
38.26, 2.352, 68
51.79, 1.765, 49

abc: 6.9269 13.2340 7.3267
angles: 90.00 90.00 90.00
Positions (direct):
1 Sn 0.0777 0.2492 0.1447
2 Sn 0.0777 0.2508 0.6447
3 Sn 0.4223 0.7492 0.1447
4 Sn 0.4223 0.7508 0.6447
5 Sn 0.5777 0.2492 0.3553
6 Sn 0.5777 0.2508 0.8553
7 Sn 0.9223 0.7492 0.3553
8 Sn 0.9223 0.7508 0.8553
9 Te 0.0012 0.5011 0.7488
10 Te 0.0012 0.9989 0.2488
11 Te 0.4988 0.0011 0.7488
12 Te 0.4988 0.4989 0.2488
13 Te 0.5012 0.5011 0.7512
14 Te 0.5012 0.9989 0.2512
15 Te 0.9988 0.0011 0.7512
16 Te 0.9988 0.4989 0.2512
17 Pd 0.2483 0.0768 0.5003
18 Pd 0.2483 0.4232 0.0003
19 Pd 0.2517 0.5768 0.5003
20 Pd 0.2517 0.9232 0.0003
21 Pd 0.7483 0.0768 0.9997
22 Pd 0.7483 0.4232 0.4997
23 Pd 0.7517 0.5768 0.9997
24 Pd 0.7517 0.9232 0.4997
25 O 0.2442 0.7363 0.9023
26 O 0.2442 0.7637 0.4023
27 O 0.2558 0.2363 0.9023
28 O 0.2558 0.2637 0.4023
29 O 0.7442 0.7363 0.5977
30 O 0.7442 0.7637 0.0977
31 O 0.7558 0.2363 0.5977
32 O 0.7558 0.2637 0.0977

(8)
Computed powder X-ray diffraction pattern
Compound: Cu7Bi
Radiation: Cu Ka
Structure: the PBE geometry in OQMD
Intensities are scaled so that the largest is 100.

Most intense lines, 2θ = 10–90°, low angle first:
2theta, d (Å), I_rel
30.28, 2.951, 26
32.99, 2.716, 30
37.54, 2.396, 33
42.57, 2.123, 100
43.47, 2.082, 80
45.68, 1.986, 67
61.79, 1.501, 38
78.53, 1.218, 24

abc: 3.0036 3.0036 31.7721
angles: 90.00 90.00 90.00
Positions (direct):
1 Cu 0.2500 0.2500 0.0210
2 Cu 0.2500 0.2500 0.1046
3 Cu 0.2500 0.2500 0.1879
4 Cu 0.2500 0.2500 0.2707
5 Cu 0.2500 0.2500 0.7709
6 Cu 0.2500 0.2500 0.8541
7 Cu 0.2500 0.2500 0.9374
8 Cu 0.7500 0.7500 0.0626
9 Cu 0.7500 0.7500 0.1459
10 Cu 0.7500 0.7500 0.2291
11 Cu 0.7500 0.7500 0.7293
12 Cu 0.7500 0.7500 0.8121
13 Cu 0.7500 0.7500 0.8954
14 Cu 0.7500 0.7500 0.9790
15 Bi 0.2500 0.2500 0.6652
16 Bi 0.7500 0.7500 0.3348

(9)
Computed powder X-ray diffraction pattern
Compound: GaCu2Bi
Radiation: Cu Ka
Structure: the PBE geometry in OQMD
Intensities are scaled so that the largest is 100.

Most intense lines, 2θ = 10–90°, low angle first:
2theta, d (Å), I_rel
26.97, 3.306, 19
30.22, 2.957, 22
38.51, 2.338, 100
55.59, 1.653, 15
57.46, 1.604, 9
62.85, 1.479, 13
69.66, 1.350, 28
88.77, 1.102, 9

abc: 6.6128 6.6128 6.6128
angles: 90.00 90.00 90.00
Positions (direct):
1 Ga 0.0000 0.0000 0.0000
2 Ga 0.0000 0.0000 0.5000
3 Ga 0.0000 0.5000 0.0000
4 Ga 0.5000 0.0000 0.0000
5 Cu 0.2143 0.2143 0.2143
6 Cu 0.2143 0.2143 0.7857
7 Cu 0.2143 0.7857 0.2143
8 Cu 0.2143 0.7857 0.7857
9 Cu 0.7857 0.2143 0.2143
10 Cu 0.7857 0.2143 0.7857
11 Cu 0.7857 0.7857 0.2143
12 Cu 0.7857 0.7857 0.7857
13 Bi 0.0000 0.5000 0.5000
14 Bi 0.5000 0.0000 0.5000
15 Bi 0.5000 0.5000 0.0000
16 Bi 0.5000 0.5000 0.5000

(10)
Computed powder X-ray diffraction pattern
Compound: GaFe2Bi
Radiation: Cu Ka
Structure: the PBE geometry in OQMD
Intensities are scaled so that the largest is 100.

Most intense lines, 2θ = 10–90°, low angle first:
2theta, d (Å), I_rel
27.47, 3.247, 28
30.79, 2.904, 24
39.24, 2.296, 100
41.73, 2.165, 9
48.57, 1.875, 11
56.70, 1.623, 14
64.14, 1.452, 19
71.13, 1.326, 27

abc: 6.4937 6.4937 6.4937
angles: 90.00 90.00 90.00
Positions (direct):
1 Ga 0.0000 0.0000 0.0000
2 Ga 0.0000 0.0000 0.5000
3 Ga 0.0000 0.5000 0.0000
4 Ga 0.5000 0.0000 0.0000
5 Fe 0.2094 0.2094 0.2094
6 Fe 0.2094 0.2094 0.7906
7 Fe 0.2094 0.7906 0.2094
8 Fe 0.2094 0.7906 0.7906
9 Fe 0.7906 0.2094 0.2094
10 Fe 0.7906 0.2094 0.7906
11 Fe 0.7906 0.7906 0.2094
12 Fe 0.7906 0.7906 0.7906
13 Bi 0.0000 0.5000 0.5000
14 Bi 0.5000 0.0000 0.5000
15 Bi 0.5000 0.5000 0.0000
16 Bi 0.5000 0.5000 0.5000

(11)
Computed powder X-ray diffraction pattern
Compound: DyTmZn2Si2
Radiation: Cu Ka
Structure: the PBE geometry in OQMD
Intensities are scaled so that the largest is 100.

Most intense lines, 2θ = 10–90°, low angle first:
2theta, d (Å), I_rel
24.91, 3.574, 32
34.07, 2.632, 100
43.87, 2.064, 38
46.71, 1.945, 9
53.66, 1.708, 9
56.68, 1.624, 23
66.01, 1.415, 20
74.33, 1.276, 21

abc: 4.1272 4.1272 15.5569
angles: 90.00 90.00 120.00
Positions (direct):
1 Dy 0.0000 0.0000 0.0000
2 Dy 0.0000 0.0000 0.5000
3 Tm 0.0000 0.0000 0.2500
4 Tm 0.0000 0.0000 0.7500
5 Zn 0.3333 0.6667 0.1383
6 Zn 0.3333 0.6667 0.3617
7 Zn 0.6667 0.3333 0.6383
8 Zn 0.6667 0.3333 0.8617
9 Si 0.3333 0.6667 0.6200
10 Si 0.3333 0.6667 0.8800
11 Si 0.6667 0.3333 0.1200
12 Si 0.6667 0.3333 0.3800

(12)
Computed powder X-ray diffraction pattern
Compound: DyScAlNi2
Radiation: Cu Ka
Structure: the PBE geometry in OQMD
Intensities are scaled so that the largest is 100.

Most intense lines, 2θ = 10–90°, low angle first:
2theta, d (Å), I_rel
20.15, 4.406, 59
24.27, 3.667, 38
27.45, 3.249, 54
35.57, 2.524, 100
40.22, 2.242, 54
40.97, 2.203, 53
42.21, 2.141, 73
43.90, 2.062, 37

abc: 4.1246 5.2748 8.0143
angles: 90.00 90.00 90.00
Positions (direct):
1 Dy 0.0000 0.0000 0.0000
2 Dy 0.5000 0.5000 0.5000
3 Sc 0.0000 0.0000 0.4058
4 Sc 0.5000 0.5000 0.9058
5 Al 0.0000 0.5000 0.2021
6 Al 0.5000 0.0000 0.7021
7 Ni 0.0000 0.2676 0.7029
8 Ni 0.0000 0.7324 0.7029
9 Ni 0.5000 0.2324 0.2029
10 Ni 0.5000 0.7676 0.2029

What did the second record say?
Computed powder X-ray diffraction pattern
Compound: ScPAuO
Radiation: Cu Ka
Structure: the PBE geometry in OQMD
Intensities are scaled so that the largest is 100.

Most intense lines, 2θ = 10–90°, low angle first:
2theta, d (Å), I_rel
10.47, 8.447, 100
21.03, 4.224, 39
34.38, 2.609, 51
39.16, 2.300, 43
46.21, 1.965, 19
46.85, 1.939, 20
51.88, 1.762, 15
54.87, 1.673, 18

abc: 3.8788 3.8788 8.4474
angles: 90.00 90.00 90.00
Positions (direct):
1 Sc 0.2500 0.2500 0.1056
2 Sc 0.7500 0.7500 0.8944
3 P 0.2500 0.2500 0.7026
4 P 0.7500 0.7500 0.2974
5 Au 0.2500 0.7500 0.5000
6 Au 0.7500 0.2500 0.5000
7 O 0.2500 0.7500 0.0000
8 O 0.7500 0.2500 0.0000